# 1
For Mn3Pd2Au6, the GGA-PBE geometry in Alexandria gives the computed powder diffraction line list in this record (Cu Kα (λ = 1.5418 Å)).
Lines closer than 0.1° are merged.

Crystal structure
```
Mn3Pd2Au6
1.0
4.752 0.000 0.000
2.366 6.180 0.000
0.064 3.415 6.558
Mn Pd Au
3 2 6
Direct
0.000 0.000 0.000 Mn
0.328 0.344 0.679 Mn
0.672 0.656 0.321 Mn
0.174 0.650 0.853 Pd
0.826 0.350 0.147 Pd
0.080 0.838 0.417 Au
0.266 0.469 0.280 Au
0.431 0.139 0.111 Au
0.569 0.861 0.889 Au
0.734 0.531 0.720 Au
0.920 0.162 0.583 Au
```

Main lines, in order of falling intensity (5° ≤ 2θ ≤ 70°):
d = 2.374 Å, 2θ 37.90, intensity 100.0; d = 2.176 Å, 2θ 41.49, intensity 80.3; d = 2.173 Å, 2θ 41.57, intensity 40.1; d = 2.161 Å, 2θ 41.80, intensity 39.3; d = 3.375 Å, 2θ 26.41, intensity 32.8; d = 3.340 Å, 2θ 26.69, intensity 32.1; d = 2.847 Å, 2θ 31.42, intensity 23.4; d = 1.687 Å, 2θ 54.37, intensity 16.0; d = 1.670 Å, 2θ 54.98, intensity 15.5; d = 1.827 Å, 2θ 49.92, intensity 11.8

# 2
For Mn2Pd2Au7, the GGA-PBE geometry in Alexandria gives the computed powder diffraction line list in this record (Cu Kα (λ = 1.5418 Å)).
Lines closer than 0.1° are merged.

Crystal structure
```
Mn2Pd2Au7
1.0
-2.193 6.118 3.587
2.193 -6.118 3.587
2.193 6.118 -3.587
Mn Pd Au
2 2 7
Direct
0.194 0.000 0.194 Mn
0.806 0.000 0.806 Mn
0.196 0.196 0.000 Pd
0.498 0.998 0.500 Pd
0.063 0.711 0.352 Au
0.343 0.496 0.847 Au
0.360 0.711 0.648 Au
0.630 0.283 0.347 Au
0.649 0.496 0.153 Au
0.800 0.800 0.000 Au
0.935 0.283 0.653 Au
```

Main lines, in order of falling intensity (5° ≤ 2θ ≤ 70°):
d = 2.295 Å, 2θ 39.25, intensity 100.0; d = 2.193 Å, 2θ 41.16, intensity 28.2; d = 2.368 Å, 2θ 37.99, intensity 21.6; d = 2.347 Å, 2θ 38.35, intensity 16.6; d = 2.039 Å, 2θ 44.42, intensity 16.6; d = 1.493 Å, 2θ 62.15, intensity 12.2; d = 3.192 Å, 2θ 27.95, intensity 11.6; d = 1.602 Å, 2θ 57.51, intensity 10.3; d = 2.987 Å, 2θ 29.91, intensity 10.0; d = 1.793 Å, 2θ 50.93, intensity 8.4

# 3
For Mn2Pd5Au3, the GGA-PBE geometry in Alexandria gives the computed powder diffraction line list in this record (Cu Kα (λ = 1.5418 Å)).
Lines closer than 0.1° are merged.

Crystal structure
```
Mn2Pd5Au3
1.0
-5.259 6.408 2.632
5.259 -6.408 2.632
5.259 6.408 -2.632
Mn Pd Au
4 10 6
Direct
0.151 0.145 0.296 Mn
0.349 0.645 0.995 Mn
0.651 0.355 0.005 Mn
0.849 0.855 0.704 Mn
0.158 0.625 0.783 Pd
0.250 0.503 0.253 Pd
0.250 0.750 0.500 Pd
0.250 0.997 0.747 Pd
0.342 0.125 0.467 Pd
0.658 0.875 0.533 Pd
0.750 0.003 0.253 Pd
0.750 0.250 0.500 Pd
0.750 0.497 0.747 Pd
0.842 0.375 0.217 Pd
0.243 0.883 0.127 Au
0.250 0.250 0.000 Au
0.257 0.383 0.640 Au
0.743 0.617 0.360 Au
0.750 0.750 0.000 Au
0.757 0.117 0.873 Au
```

Main lines, in order of falling intensity (5° ≤ 2θ ≤ 70°):
d = 2.434 Å, 2θ 36.94, intensity 100.0; d = 1.860 Å, 2θ 48.97, intensity 31.3; d = 2.111 Å, 2θ 42.85, intensity 30.5; d = 2.806 Å, 2θ 31.90, intensity 29.2; d = 3.204 Å, 2θ 27.85, intensity 22.3; d = 1.396 Å, 2θ 67.06, intensity 14.9; d = 1.609 Å, 2θ 57.27, intensity 12.4; d = 1.658 Å, 2θ 55.41, intensity 11.2; d = 1.550 Å, 2θ 59.63, intensity 9.4; d = 1.643 Å, 2θ 55.98, intensity 8.4

# 4
For MnPd8Au6, the GGA-PBE geometry in Alexandria gives the computed powder diffraction line list in this record (Cu Kα (λ = 1.5418 Å)).
Lines closer than 0.1° are merged.

Crystal structure
```
MnPd8Au6
1.0
7.613 0.000 0.000
-3.807 6.593 0.000
0.000 0.000 5.062
Mn Pd Au
1 8 6
Direct
0.000 0.000 0.000 Mn
0.052 0.270 0.301 Pd
0.218 0.948 0.301 Pd
0.270 0.218 0.699 Pd
0.333 0.667 0.290 Pd
0.667 0.333 0.710 Pd
0.730 0.782 0.301 Pd
0.782 0.052 0.699 Pd
0.948 0.730 0.699 Pd
0.100 0.462 0.792 Au
0.362 0.900 0.792 Au
0.462 0.362 0.208 Au
0.538 0.638 0.792 Au
0.638 0.100 0.208 Au
0.900 0.538 0.208 Au
```

Main lines, in order of falling intensity (5° ≤ 2θ ≤ 70°):
d = 2.236 Å, 2θ 40.34, intensity 100.0; d = 2.492 Å, 2θ 36.04, intensity 31.3; d = 2.531 Å, 2θ 35.47, intensity 24.3; d = 1.776 Å, 2θ 51.46, intensity 18.2; d = 1.439 Å, 2θ 64.80, intensity 15.6; d = 1.397 Å, 2θ 66.98, intensity 13.9; d = 2.108 Å, 2θ 42.91, intensity 9.6; d = 2.363 Å, 2θ 38.09, intensity 8.0; d = 4.015 Å, 2θ 22.14, intensity 5.9; d = 6.593 Å, 2θ 13.43, intensity 5.2

# 5
For MnRh2Au, the GGA-PBE geometry in Alexandria gives the computed powder diffraction line list in this record (Cu Kα (λ = 1.5418 Å)).
Lines closer than 0.1° are merged.

Crystal structure
```
MnRh2Au
1.0
4.569 -1.432 0.000
4.569 1.432 0.000
-0.970 0.000 4.650
Mn Rh Au
1 2 1
Direct
0.000 0.000 0.000 Mn
0.256 0.256 0.740 Rh
0.509 0.509 0.525 Rh
0.753 0.753 0.241 Au
```

Main lines, in order of falling intensity (5° ≤ 2θ ≤ 70°):
d = 2.292 Å, 2θ 39.31, intensity 100.0; d = 1.996 Å, 2θ 45.45, intensity 66.4; d = 2.260 Å, 2θ 39.88, intensity 47.4; d = 2.236 Å, 2θ 40.33, intensity 46.7; d = 1.910 Å, 2θ 47.62, intensity 27.8; d = 4.473 Å, 2θ 19.85, intensity 25.0; d = 1.385 Å, 2θ 67.63, intensity 20.0; d = 1.374 Å, 2θ 68.25, intensity 18.9; d = 2.420 Å, 2θ 37.15, intensity 11.7; d = 1.432 Å, 2θ 65.12, intensity 11.2

# 6
For MnRh2Au, the GGA-PBE geometry in Alexandria gives the computed powder diffraction line list in this record (Cu Kα (λ = 1.5418 Å)).
Lines closer than 0.1° are merged.

Crystal structure
```
MnRh2Au
1.0
4.614 -1.414 0.000
4.614 1.414 0.000
-1.119 0.000 4.632
Mn Rh Au
1 2 1
Direct
0.000 0.000 0.000 Mn
0.263 0.263 0.764 Rh
0.737 0.737 0.236 Rh
0.500 0.500 0.500 Au
```

Main lines, in order of falling intensity (5° ≤ 2θ ≤ 70°):
d = 2.262 Å, 2θ 39.85, intensity 100.0; d = 2.001 Å, 2θ 45.31, intensity 69.2; d = 2.288 Å, 2θ 39.38, intensity 52.4; d = 2.243 Å, 2θ 40.21, intensity 47.0; d = 1.885 Å, 2θ 48.28, intensity 27.5; d = 4.632 Å, 2θ 19.16, intensity 20.7; d = 1.383 Å, 2θ 67.78, intensity 20.4; d = 2.697 Å, 2θ 33.22, intensity 19.5; d = 2.900 Å, 2θ 30.84, intensity 17.7; d = 1.362 Å, 2θ 68.93, intensity 17.5

# 7
For MnRuAu2, the GGA-PBE geometry in Alexandria gives the computed powder diffraction line list in this record (Cu Kα (λ = 1.5418 Å)).
Lines closer than 0.1° are merged.

Crystal structure
```
MnRuAu2
1.0
3.146 0.000 0.000
0.000 3.146 0.000
0.000 0.000 6.460
Mn Ru Au
1 1 2
Direct
0.000 0.000 0.000 Mn
0.500 0.500 0.192 Ru
0.000 0.000 0.464 Au
0.500 0.500 0.749 Au
```

Main lines, in order of falling intensity (5° ≤ 2θ ≤ 70°):
d = 2.254 Å, 2θ 40.00, intensity 100.0; d = 2.225 Å, 2θ 40.55, intensity 52.2; d = 2.829 Å, 2θ 31.63, intensity 33.5; d = 1.573 Å, 2θ 58.68, intensity 17.6; d = 6.460 Å, 2θ 13.71, intensity 13.6; d = 1.547 Å, 2θ 59.76, intensity 12.3; d = 2.153 Å, 2θ 41.95, intensity 8.6; d = 1.375 Å, 2θ 68.21, intensity 8.0; d = 1.615 Å, 2θ 57.02, intensity 6.9; d = 2.104 Å, 2θ 43.00, intensity 4.1

# 8
For MnAuS2, the GGA-PBE geometry in Alexandria gives the computed powder diffraction line list in this record (Cu Kα (λ = 1.5418 Å)).
Lines closer than 0.1° are merged.

Crystal structure
```
MnAuS2
1.0
3.230 0.000 0.000
-1.615 2.797 0.000
0.000 0.000 7.482
Mn Au S
1 1 2
Direct
0.000 0.000 0.000 Mn
0.333 0.667 0.500 Au
0.333 0.667 0.183 S
0.333 0.667 0.817 S
```

Main lines, in order of falling intensity (5° ≤ 2θ ≤ 70°):
d = 2.620 Å, 2θ 34.23, intensity 100.0; d = 2.797 Å, 2θ 32.00, intensity 83.0; d = 1.861 Å, 2θ 48.93, intensity 73.0; d = 7.482 Å, 2θ 11.83, intensity 51.4; d = 3.741 Å, 2θ 23.79, intensity 43.0; d = 2.240 Å, 2θ 40.26, intensity 28.8; d = 1.615 Å, 2θ 57.03, intensity 27.1; d = 1.483 Å, 2θ 62.66, intensity 18.8; d = 2.494 Å, 2θ 36.01, intensity 14.5; d = 1.555 Å, 2θ 59.45, intensity 14.5